The following is a calculated X-ray powder pattern of PmFeN3. It was derived from a GGA-PBE-relaxed structure, using Cu Kα, 1.54184 Å.
Lines closer than 0.1° are merged.

Structural model:
```
PmFeN3
1.0
5.4517 0.0000 0.0000
0.0000 3.3950 0.0000
-2.7079 0.0000 6.7035
Pm Fe N
2 2 6
Cartesian
0.0112 0.0000 2.1423
2.7325 0.0000 4.5612
0.0016 1.6975 4.7120
2.7421 1.6975 1.9915
-1.3540 1.6975 3.3517
-1.2509 1.6975 6.0883
1.4484 1.6975 0.6220
1.3719 1.6975 3.3517
1.2953 1.6975 6.0815
3.9946 1.6975 0.6152
```

Main lines, in order of rising 2θ (2θ from 10° to 90°):
(0 0 1), 13.21 deg, I 37
(1 0 1), 25.78 deg, I 27
(0 0 2), 26.59 deg, I 21
(1 1 -1), 31.76 deg, I 52
(2 0 -1), 32.86 deg, I 24
(1 1 1), 37.12 deg, I 100
(0 0 3), 40.36 deg, I 14
(2 1 -1), 42.53 deg, I 14
(1 1 -4), 57.80 deg, I 18
(1 1 4), 71.23 deg, I 14